Diffraction record for KRbZnSe2. The powder X-ray diffraction pattern is theoretical, not measured: it uses a structure optimized by DFT (GGA-PBE) and a wavelength of 1.5418 Å.
Neutral-atom scattering factors, no anomalous dispersion.

Atomic structure:
Cell: 5.668 8.108 7.062 Å, 90.00 90.00 90.00°
Space group Pmma (No. 51)
Unique sites:
K: 0.250 0.000 0.091 [2 per cell]
Rb: 0.250 0.500 0.302 [2 per cell]
Zn: 0.000 0.000 0.500 [2 per cell]
Se: 0.250 0.218 0.687 [4 per cell]

Largest 10 diffraction maxima, in order of rising 2θ, 10 to 90 degrees two-theta:
2θ/deg  d/Å  I/Imax  hkl
10.91  8.108  15  0 1 0
12.53  7.062  49  0 0 1
22.92  3.881  25  1 1 1
27.55  3.237  18  0 1 2
29.90  2.988  100  1 2 1
31.57  2.834  16  2 0 0
31.83  2.811  17  1 1 2
40.86  2.209  31  2 0 2
42.10  2.146  15  0 3 2
55.19  1.664  17  3 2 1


Diffraction record for Cs3IrCl6. The powder X-ray diffraction pattern is theoretical, not measured: it uses a structure optimized by DFT (GGA-PBE) and a wavelength of 1.5418 Å.
Neutral-atom scattering factors, no anomalous dispersion.

Atomic structure:
Cell: 11.220 11.220 11.220 Å, 90.00 90.00 90.00°
Space group Fm-3m (No. 225)
Unique sites:
Cs: 0.000 0.000 0.000 [4 per cell]
Cs: 0.250 0.250 0.250 [8 per cell]
Ir: 0.000 0.000 0.500 [4 per cell]
Cl: 0.000 0.000 0.289 [24 per cell]

Largest 10 diffraction maxima, in order of rising 2θ, 10 to 90 degrees two-theta:
2θ/deg  d/Å  I/Imax  hkl
13.67  6.478  10  1 1 1
22.41  3.967  100  2 2 0
31.91  2.805  44  4 0 0
39.34  2.290  42  4 2 2
45.75  1.983  29  4 4 0
51.51  1.774  26  6 2 0
61.89  1.499  27  6 4 2
71.33  1.322  12  6 6 0
75.84  1.254  11  8 4 0
88.97  1.100  15  10 2 0


Diffraction record for TlFeTc2. The powder X-ray diffraction pattern is theoretical, not measured: it uses a structure optimized by DFT (GGA-PBE) and a wavelength of 1.5418 Å.
Neutral-atom scattering factors, no anomalous dispersion.

Atomic structure:
Cell: 3.933 3.933 4.073 Å, 90.00 90.00 90.00°
Space group P4/mmm (No. 123)
Unique sites:
Tl: 0.000 0.000 0.000 [1 per cell]
Fe: 0.500 0.500 0.000 [1 per cell]
Tc: 0.000 0.500 0.500 [2 per cell]

Largest 10 diffraction maxima, in order of rising 2θ, 10 to 90 degrees two-theta:
2θ/deg  d/Å  I/Imax  hkl
22.61  3.933  19  1 0 0
31.62  2.829  16  1 0 1
39.22  2.297  100  1 1 1
44.49  2.037  17  0 0 2
46.16  1.967  31  2 0 0
66.04  1.415  21  2 0 2
67.33  1.391  10  2 2 0
78.37  1.220  13  1 1 3
80.79  1.190  24  3 1 1
84.33  1.148  11  2 2 2